# 1
Pr3Sm6Th2: simulated powder X-ray diffraction pattern (Cu Kα, 1.54184 Å), based on a GGA-PBE-relaxed structure.

Structure:
```
Pr3Sm6Th2
1.0
1.8209 1.0513 32.6944
-1.8209 1.0513 32.6944
0.0000 -2.1026 32.6944
Pr Sm Th
3 6 2
Cartesian
0.0000 0.0000 0.0000 Pr
0.0000 0.0000 26.7037 Pr
0.0000 0.0000 71.3796 Pr
0.0000 0.0000 9.0845 Sm
0.0000 0.0000 17.9067 Sm
0.0000 0.0000 35.7053 Sm
0.0000 0.0000 62.3779 Sm
0.0000 0.0000 80.1766 Sm
0.0000 0.0000 88.9988 Sm
0.0000 0.0000 44.6411 Th
0.0000 0.0000 53.4421 Th
```

The 10 most intense peaks (10 to 90 degrees two-theta), sorted by position:
2θ = 10.8°, I 27
2θ = 28.3°, I 10
2θ = 30.1°, I 1000
2θ = 34.8°, I 506
2θ = 50.1°, I 362
2θ = 59.5°, I 425
2θ = 62.5°, I 122
2θ = 73.6°, I 56
2θ = 81.5°, I 170
2θ = 84.1°, I 158


# 2
V2Mo2W5: simulated powder X-ray diffraction pattern (Cu Kα, 1.54184 Å), based on a GGA-PBE-relaxed structure.

Structure:
```
V2Mo2W5
1.0
6.3540 -2.5875 0.0000
6.3540 2.5875 0.0000
-3.3789 0.0000 8.9132
V Mo W
4 4 10
Cartesian
1.4875 1.2937 4.4566 V
3.8198 1.4352 6.6849 V
3.1770 -1.2937 0.0000 V
5.5093 -1.4352 2.2283 V
4.2797 1.1930 1.1421 Mo
6.7388 1.1930 3.3145 Mo
2.5902 -1.1930 5.5987 Mo
5.0494 -1.1930 7.7711 Mo
-0.7054 0.1722 5.2870 W
0.9840 -0.1722 0.8304 W
1.0739 0.3354 7.1812 W
2.7633 -0.3354 2.7246 W
6.3540 0.0000 0.0000 W
4.6645 0.0000 4.4566 W
6.5657 0.3354 6.1887 W
8.2552 -0.3354 1.7320 W
8.3450 0.1722 8.0828 W
10.0345 -0.1722 3.6262 W
```

The 10 most intense peaks (10 to 90 degrees two-theta), sorted by position:
2θ = 20.2°, I 951
2θ = 37.9°, I 264
2θ = 39.4°, I 783
2θ = 40.5°, I 1000
2θ = 41.1°, I 611
2θ = 41.8°, I 596
2θ = 47.5°, I 407
2θ = 53.5°, I 319
2θ = 71.3°, I 208
2θ = 74.5°, I 216